For CsSn2Cl5, a crystal structure in Alexandria, relaxed with PBE gives the theoretical powder diffractogram in this record (Cu Kα, 1.54184 Å).
Peak positions follow from Bragg's law for the DFT cell and can differ from measured ones.

Principal peaks in the range 15 to 90 degrees two-theta, sorted by position:
2θ/deg  d (Å)  I/Imax  hkl
20.85  4.260  100.0  0 1 3
23.83  3.734  39.6  0 2 0
26.50  3.363  62.8  1 1 2
32.24  2.776  82.7  1 2 1
34.60  2.593  35.9  0 0 6
43.29  2.090  34.2  1 2 5

Structure:
Cell: 4.3041 7.4736 15.5553 Å, 90.00 90.00 90.00°
Space group Immm (No. 71)
Symmetry-distinct sites (fractional):
Cs: 0.0000 0.0000 0.0000 (multiplicity 2)
Sn: 0.0000 0.5000 0.1750 (multiplicity 4)
Cl: 0.0000 0.2564 0.3474 (multiplicity 8)
Cl: 0.0000 0.5000 0.0000 (multiplicity 2)

For ZrCd6Ag5, a crystal structure in Alexandria, relaxed with PBE gives the theoretical powder diffractogram in this record (Cu Kα, 1.54184 Å).
Peak positions follow from Bragg's law for the DFT cell and can differ from measured ones.

Principal peaks in the range 15 to 90 degrees two-theta, sorted by position:
2θ/deg  d (Å)  I/Imax  hkl
36.22  2.480  100.0  1 2 3
39.77  2.267  20.1  2 0 0
42.42  2.131  15.1  0 0 6
43.94  2.061  13.7  0 4 0
59.54  1.553  10.6  2 0 6
69.87  1.346  13.7  3 2 3

Structure:
Cell: 4.5334 8.2431 12.7853 Å, 90.00 90.00 90.00°
Space group Immm (No. 71)
Symmetry-distinct sites (fractional):
Zr: 0.0000 0.0000 0.0000 (multiplicity 2)
Cd: 0.0000 0.2329 0.5000 (multiplicity 4)
Cd: 0.0000 0.2663 0.1661 (multiplicity 8)
Ag: 0.0000 0.0000 0.3152 (multiplicity 4)
Ag: 0.0000 0.5000 0.0000 (multiplicity 2)
Ag: 0.0000 0.5000 0.3412 (multiplicity 4)

For CeZr4Sn2, a crystal structure in Alexandria, relaxed with PBE gives the theoretical powder diffractogram in this record (Cu Kα, 1.54184 Å).
Peak positions follow from Bragg's law for the DFT cell and can differ from measured ones.

Principal peaks in the range 15 to 90 degrees two-theta, sorted by position:
2θ/deg  d (Å)  I/Imax  hkl
33.96  2.640  100.0  0 1 7
35.00  2.563  43.2  1 1 2
35.45  2.532  34.3  1 0 5
36.08  2.489  40.4  0 2 0
37.90  2.374  25.1  1 1 4
51.48  1.775  23.8  1 2 5

Structure:
Cell: 3.1094 4.9785 21.8093 Å, 90.00 90.00 90.00°
Space group Immm (No. 71)
Symmetry-distinct sites (fractional):
Ce: 0.0000 0.0000 0.0000 (multiplicity 2)
Zr: 0.0000 0.0000 0.1452 (multiplicity 4)
Zr: 0.0000 0.5000 0.2229 (multiplicity 4)
Sn: 0.0000 0.0000 0.4110 (multiplicity 4)

For TmMnTlCl6, a crystal structure in Alexandria, relaxed with PBE gives the theoretical powder diffractogram in this record (Cu Kα, 1.54184 Å).
Peak positions follow from Bragg's law for the DFT cell and can differ from measured ones.

Principal peaks in the range 15 to 90 degrees two-theta, sorted by position:
2θ/deg  d (Å)  I/Imax  hkl
20.05  4.429  100.0  1 0 2
27.77  3.213  22.5  1 1 0
34.49  2.601  21.8  2 0 2
37.25  2.414  54.9  1 1 4
44.84  2.021  23.9  2 1 2
49.12  1.855  15.9  3 0 0

Structure:
Cell: 6.4253 6.4253 14.6325 Å, 90.00 90.00 120.00°
Space group P-31c (No. 163)
Symmetry-distinct sites (fractional):
Tm: 0.3333 0.6667 0.2500 (multiplicity 2)
Mn: 0.3333 0.6667 0.7500 (multiplicity 2)
Tl: 0.0000 0.0000 0.0000 (multiplicity 2)
Cl: 0.0284 0.3798 0.6528 (multiplicity 12)

For Zr4UN5, a crystal structure in Alexandria, relaxed with PBE gives the theoretical powder diffractogram in this record (Cu Kα, 1.54184 Å).
Peak positions follow from Bragg's law for the DFT cell and can differ from measured ones.

Principal peaks in the range 15 to 90 degrees two-theta, sorted by position:
2θ/deg  d (Å)  I/Imax  hkl
33.26  2.694  100.0  2 1 1
38.31  2.350  24.8  0 0 2
38.73  2.325  49.7  1 3 0
55.62  1.653  33.5  1 3 2
66.65  1.403  26.5  5 0 1
69.83  1.347  16.4  4 2 2

Structure:
Cell: 7.3515 7.3515 4.6991 Å, 90.00 90.00 90.00°
Space group I4/m (No. 87)
Symmetry-distinct sites (fractional):
Zr: 0.0930 0.3011 0.0000 (multiplicity 8)
U: 0.0000 0.0000 0.5000 (multiplicity 2)
N: 0.0000 0.0000 0.0000 (multiplicity 2)
N: 0.0997 0.2959 0.5000 (multiplicity 8)

For LiSm6Mg, a crystal structure in Alexandria, relaxed with PBE gives the theoretical powder diffractogram in this record (Cu Kα, 1.54184 Å).
Peak positions follow from Bragg's law for the DFT cell and can differ from measured ones.

Principal peaks in the range 15 to 90 degrees two-theta, sorted by position:
2θ/deg  d (Å)  I/Imax  hkl
19.85  4.472  34.6  0 1 1
20.02  4.436  36.2  1 1 0
31.42  2.848  61.2  2 0 -1
31.55  2.836  100.0  0 1 -2
31.65  2.827  71.2  0 2 1
31.84  2.811  80.8  2 1 0

Structure:
Cell: 6.3163 6.3216 6.3288 Å, 90.07 91.05 90.65°
Space group P-1 (No. 2)
Symmetry-distinct sites (fractional):
Li: 0.0000 0.0000 0.0000 (multiplicity 1)
Sm: 0.0290 0.5255 0.2517 (multiplicity 2)
Sm: 0.2517 0.0319 0.5197 (multiplicity 2)
Sm: 0.4791 0.7476 0.9675 (multiplicity 2)
Mg: 0.5000 0.5000 0.5000 (multiplicity 1)

For Tb12Y7Zr, a crystal structure in Alexandria, relaxed with PBE gives the theoretical powder diffractogram in this record (Cu Kα, 1.54184 Å).
Peak positions follow from Bragg's law for the DFT cell and can differ from measured ones.

Principal peaks in the range 15 to 90 degrees two-theta, sorted by position:
2θ/deg  d (Å)  I/Imax  hkl
23.05  3.858  28.7  2 -1 3
30.61  2.920  100.0  1 3 1
30.87  2.896  36.6  0 3 3
31.38  2.851  30.0  0 1 5
32.40  2.763  82.7  3 1 2
32.77  2.733  40.5  3 -1 4

Structure:
Cell: 12.4021 12.4021 14.7829 Å, 90.00 90.00 120.00°
Space group R-3 (No. 148, hexagonal axes)
Symmetry-distinct sites (fractional):
Tb: 0.0222 0.5826 0.2178 (multiplicity 18)
Tb: 0.0561 0.8684 0.3100 (multiplicity 18)
Y: 0.0000 0.0000 0.5000 (multiplicity 3)
Y: 0.0688 0.2316 0.9004 (multiplicity 18)
Zr: 0.0000 0.0000 0.0000 (multiplicity 3)

For Pm2Zn5AgPd2, a crystal structure in Alexandria, relaxed with PBE gives the theoretical powder diffractogram in this record (Cu Kα, 1.54184 Å).
Peak positions follow from Bragg's law for the DFT cell and can differ from measured ones.

Principal peaks in the range 15 to 90 degrees two-theta, sorted by position:
2θ/deg  d (Å)  I/Imax  hkl
34.21  2.621  34.4  2 2 1
36.64  2.453  100.0  3 1 1
37.72  2.385  46.2  4 1 0
40.04  2.252  45.6  3 2 1
45.47  1.995  28.6  0 0 2
60.51  1.530  22.6  4 1 2

Structure:
Cell: 9.8342 9.8342 3.9895 Å, 90.00 90.00 90.00°
Space group P4/mbm (No. 127)
Symmetry-distinct sites (fractional):
Pm: 0.1829 0.3171 0.0000 (multiplicity 4)
Zn: 0.0000 0.5000 0.5000 (multiplicity 2)
Zn: 0.0518 0.7999 0.5000 (multiplicity 8)
Ag: 0.0000 0.0000 0.0000 (multiplicity 2)
Pd: 0.1153 0.6153 0.0000 (multiplicity 4)

For Ho4BiPt, a crystal structure in Alexandria, relaxed with PBE gives the theoretical powder diffractogram in this record (Cu Kα, 1.54184 Å).
Peak positions follow from Bragg's law for the DFT cell and can differ from measured ones.

Principal peaks in the range 15 to 90 degrees two-theta, sorted by position:
2θ/deg  d (Å)  I/Imax  hkl
30.71  2.911  98.5  1 1 4
31.91  2.805  53.6  0 1 5
32.64  2.743  39.2  3 0 1
33.90  2.644  100.0  2 1 3
38.73  2.325  36.0  2 1 5
44.98  2.016  41.2  0 2 0

Structure:
Cell: 8.3129 4.0311 19.5241 Å, 90.00 90.00 90.00°
Space group Pnma (No. 62)
Symmetry-distinct sites (fractional):
Ho: 0.0253 0.2500 0.0667 (multiplicity 4)
Ho: 0.0501 0.7500 0.2132 (multiplicity 4)
Ho: 0.1299 0.7500 0.6512 (multiplicity 4)
Ho: 0.1452 0.7500 0.4494 (multiplicity 4)
Bi: 0.2487 0.2500 0.3141 (multiplicity 4)
Pt: 0.2205 0.2500 0.5533 (multiplicity 4)

For Na2UPdO6, a crystal structure in Alexandria, relaxed with PBE gives the theoretical powder diffractogram in this record (Cu Kα, 1.54184 Å).
Peak positions follow from Bragg's law for the DFT cell and can differ from measured ones.

Principal peaks in the range 15 to 90 degrees two-theta, sorted by position:
2θ/deg  d (Å)  I/Imax  hkl
22.19  4.006  100.0  0 1 2
31.51  2.839  54.4  1 0 4
31.65  2.827  49.7  1 1 0
45.27  2.003  31.9  0 2 4
50.87  1.795  23.4  2 -1 6
56.32  1.634  36.0  3 0 0

Structure:
Cell: 5.6536 5.6536 13.9398 Å, 90.00 90.00 120.00°
Space group R-3 (No. 148, hexagonal axes)
Symmetry-distinct sites (fractional):
Na: 0.0000 0.0000 0.2488 (multiplicity 6)
U: 0.0000 0.0000 0.0000 (multiplicity 3)
Pd: 0.0000 0.0000 0.5000 (multiplicity 3)
O: 0.0026 0.4270 0.2486 (multiplicity 18)

For La6Tb4Sc, a crystal structure in Alexandria, relaxed with PBE gives the theoretical powder diffractogram in this record (Cu Kα, 1.54184 Å).
Peak positions follow from Bragg's law for the DFT cell and can differ from measured ones.

Principal peaks in the range 15 to 90 degrees two-theta, sorted by position:
2θ/deg  d (Å)  I/Imax  hkl
29.72  3.006  63.3  1 1 7
30.10  2.969  66.3  0 2 7
30.29  2.951  87.4  2 0 0
31.38  2.851  100.0  1 3 0
31.57  2.834  50.7  1 3 1
32.60  2.746  88.6  1 1 8

Structure:
Cell: 5.9018 9.7665 26.1790 Å, 90.00 90.00 90.00°
Space group Cmcm (No. 63)
Symmetry-distinct sites (fractional):
La: 0.0000 0.0000 0.0000 (multiplicity 4)
La: 0.0000 0.0487 0.2500 (multiplicity 4)
La: 0.0000 0.3003 0.6030 (multiplicity 8)
La: 0.0000 0.3758 0.1838 (multiplicity 8)
Tb: 0.0000 0.0427 0.1246 (multiplicity 8)
Tb: 0.0000 0.3480 0.0452 (multiplicity 8)
Sc: 0.0000 0.2909 0.7500 (multiplicity 4)

For Ca6PmMg2, a crystal structure in Alexandria, relaxed with PBE gives the theoretical powder diffractogram in this record (Cu Kα, 1.54184 Å).
Peak positions follow from Bragg's law for the DFT cell and can differ from measured ones.

Principal peaks in the range 15 to 90 degrees two-theta, sorted by position:
2θ/deg  d (Å)  I/Imax  hkl
22.17  4.010  16.2  1 0 2
27.25  3.273  15.3  1 0 3
28.14  3.171  100.0  1 1 2
34.63  2.591  29.3  2 0 0
49.82  1.830  21.0  2 2 0
58.16  1.586  26.6  3 1 2

Structure:
Cell: 5.1812 5.1812 12.6669 Å, 90.00 90.00 90.00°
Space group P4/mmm (No. 123)
Symmetry-distinct sites (fractional):
Ca: 0.0000 0.0000 0.0000 (multiplicity 1)
Ca: 0.0000 0.5000 0.2351 (multiplicity 4)
Ca: 0.5000 0.5000 0.0000 (multiplicity 1)
Pm: 0.0000 0.0000 0.5000 (multiplicity 1)
Mg: 0.5000 0.5000 0.3938 (multiplicity 2)